Theoretical X-ray powder pattern of Bi4PtRh2 for Cu Kα (λ = 1.5418 Å), from a DFT-relaxed cell (GGA-PBE, Alexandria).
Kinematic intensities with the Lorentz-polarization factor, no thermal factor.

Main lines, in order of falling intensity (2θ from 10° to 80°):
Position (°2θ), intensity
29.89, 100.0
28.92, 81.4
38.97, 54.4
37.45, 53.3
31.86, 48.2
47.80, 48.1
30.33, 47.9
40.93, 45.6
44.56, 36.6
36.68, 25.4
71.04, 22.9
35.49, 22.6

abc: 7.647 7.647 7.647
angles: 115.75 109.56 103.35
Element x y z (fractional)
Bi: 0.115 0.411 0.703
Bi: 0.189 0.000 0.189
Bi: 0.304 0.016 0.711
Bi: 0.304 0.593 0.289
Bi: 0.708 0.411 0.297
Bi: 0.718 0.505 0.786
Bi: 0.718 0.932 0.214
Bi: 0.811 0.000 0.811
Pt: 0.485 0.485 0.000
Pt: 0.548 0.048 0.500
Rh: 0.025 0.309 0.284
Rh: 0.025 0.741 0.716
Rh: 0.438 0.703 0.734
Rh: 0.969 0.703 0.266